Entry 1:
# Ni2Ag3Au4
Simulated powder XRD pattern, a wavelength of 1.5418 Å. Input: the PBE geometry in OQMD.

Top 8 peaks for 2θ from 5° to 70°, in order of rising 2θ:
(1 1 0), 22.9°, I 17; (2 1 0), 35.4°, I 34; (1 1 1), 39.1°, I 100; (3 0 0), 40.3°, I 93; (2 0 1), 41.5°, I 31; (1 2 1), 47.9°, I 22; (2 2 1), 57.4°, I 20; (2 3 1), 69.3°, I 25

Crystal structure
```
data_Ni2Ag3Au4
_chemical_formula_sum 'Ni2 Ag3 Au4'
_cell_length_a 7.7539
_cell_length_b 7.7539
_cell_length_c 2.8599
_cell_angle_alpha 90.00
_cell_angle_beta 90.00
_cell_angle_gamma 120.00
_space_group_name_H-M_alt 'P -6'
_space_group_IT_number 174
_space_group_name_Hall 'P -6'
loop_
_atom_site_label
_atom_site_type_symbol
_atom_site_fract_x
_atom_site_fract_y
_atom_site_fract_z
_atom_site_occupancy
Ni1 Ni 0.0000 0.0000 0.0000 1
Ni2 Ni 0.3333 0.6667 0.5000 1
Ag1 Ag 0.3204 0.2915 0.5000 1
Au1 Au 0.0471 0.3721 0.0000 1
Au2 Au 0.6667 0.3333 0.0000 1
```

---

Entry 2:
# SiNi2Ge4
Simulated powder XRD pattern, a wavelength of 1.5418 Å. Input: the PBE geometry in OQMD.

Top 8 peaks for 2θ from 5° to 70°, in order of rising 2θ:
(1 1 1), 31.8°, I 100; (1 1 2), 41.4°, I 40; (2 0 1), 42.8°, I 45; (0 0 3), 45.6°, I 23; (2 0 2), 50.7°, I 35; (2 2 0), 57.7°, I 20; (3 1 1), 67.4°, I 18; (1 1 4), 69.6°, I 11

Crystal structure
```
data_SiNi2Ge4
_chemical_formula_sum 'Si1 Ni2 Ge4'
_cell_length_a 4.5170
_cell_length_b 4.5170
_cell_length_c 5.9653
_cell_angle_alpha 90.00
_cell_angle_beta 90.00
_cell_angle_gamma 90.00
_space_group_name_H-M_alt 'P -4 2 m'
_space_group_IT_number 111
_space_group_name_Hall 'P -4 2'
loop_
_atom_site_label
_atom_site_type_symbol
_atom_site_fract_x
_atom_site_fract_y
_atom_site_fract_z
_atom_site_occupancy
Si1 Si 0.0000 0.0000 0.0000 1
Ni1 Ni 0.0000 0.5000 0.0000 1
Ge1 Ge 0.2735 0.2735 0.3243 1
```